# 1
# Ca3Ge5Pd6
Calculated powder diffractogram, λ = 1.5418 Å (Cu Kα). Input: a cell relaxed with PBE.
Intensities are scaled so that the largest is 100.

Structural model:
a = 4.209 Å, b = 13.019 Å, c = 9.718 Å
α = 90.00°, β = 90.00°, γ = 90.00°
Space group Pmmn (No. 59, origin choice 2)
Unique sites:
Ca 0.250 0.084 0.247 (multiplicity 4)
Ca 0.250 0.750 0.253 (multiplicity 2)
Ge 0.250 0.082 0.853 (multiplicity 4)
Ge 0.250 0.634 0.526 (multiplicity 4)
Ge 0.250 0.750 0.859 (multiplicity 2)
Pd 0.250 0.051 0.595 (multiplicity 4)
Pd 0.250 0.250 0.491 (multiplicity 2)
Pd 0.250 0.250 0.993 (multiplicity 2)
Pd 0.250 0.583 0.004 (multiplicity 4)

Peak list (6 most intense, 10 to 80 degrees two-theta, sorted by position)
- hkl 0 0 2, 18.26 deg, I 55
- hkl 1 3 2, 34.97 deg, I 100
- hkl 1 5 0, 40.79 deg, I 26
- hkl 1 5 1, 41.84 deg, I 20
- hkl 2 0 0, 42.98 deg, I 42
- hkl 1 3 4, 48.06 deg, I 39

=====

# 2
# Ca3Ge8Pd3
Calculated powder diffractogram, λ = 1.5418 Å (Cu Kα). Input: a cell relaxed with PBE.
Intensities are scaled so that the largest is 100.

Structural model:
a = 4.359 Å, b = 10.421 Å, c = 12.377 Å
α = 90.00°, β = 90.00°, γ = 90.00°
Space group Immm (No. 71)
Unique sites:
Ca 0.000 0.000 0.000 (multiplicity 2)
Ca 0.000 0.000 0.321 (multiplicity 4)
Ge 0.000 0.293 0.123 (multiplicity 8)
Ge 0.000 0.374 0.334 (multiplicity 8)
Pd 0.000 0.226 0.500 (multiplicity 4)
Pd 0.000 0.500 0.000 (multiplicity 2)

Peak list (6 most intense, 10 to 80 degrees two-theta, sorted by position)
- hkl 1 1 0, 22.10 deg, I 23
- hkl 1 2 3, 34.53 deg, I 100
- hkl 1 3 2, 36.11 deg, I 24
- hkl 2 0 0, 41.43 deg, I 44
- hkl 1 3 4, 44.37 deg, I 34
- hkl 1 2 5, 45.58 deg, I 35

=====

# 3
# Ca2Ge6Pd21
Calculated powder diffractogram, λ = 1.5418 Å (Cu Kα). Input: a cell relaxed with PBE.
Intensities are scaled so that the largest is 100.

Structural model:
a = 12.463 Å, b = 12.463 Å, c = 12.463 Å
α = 90.00°, β = 90.00°, γ = 90.00°
Space group Fm-3m (No. 225)
Unique sites:
Ca 0.250 0.250 0.250 (multiplicity 8)
Ge 0.000 0.000 0.233 (multiplicity 24)
Pd 0.000 0.000 0.500 (multiplicity 4)
Pd 0.000 0.172 0.328 (multiplicity 48)
Pd 0.117 0.117 0.117 (multiplicity 32)

Peak list (6 most intense, 10 to 80 degrees two-theta, sorted by position)
- hkl 3 3 3, 37.50 deg, I 100
- hkl 4 4 0, 40.96 deg, I 35
- hkl 5 3 1, 42.93 deg, I 33
- hkl 6 0 0, 43.57 deg, I 25
- hkl 6 6 0, 63.32 deg, I 17
- hkl 8 4 4, 74.61 deg, I 21